No. 1
Calculated X-ray diffraction stick pattern
Compound: MgZn4Ru
Radiation: Cu Kα (λ = 1.5418 Å)
Structure: a crystal structure in Alexandria, relaxed with GGA-PBE
Intensities are scaled so that the largest is 100.

Top 10 peaks for 15° ≤ 2θ ≤ 90°, by intensity:
| 2theta | I_rel |
| --- | --- |
| 41.46 | 100 |
| 41.02 | 90 |
| 42.59 | 46 |
| 40.63 | 43 |
| 19.99 | 28 |
| 60.33 | 27 |
| 83.50 | 23 |
| 74.81 | 20 |
| 59.15 | 17 |
| 75.58 | 15 |

```
MgZn4Ru
1.0
4.245 0.000 0.000
0.000 7.613 0.000
0.000 0.000 5.467
Mg Zn Ru
2 8 2
Cartesian
1.061 1.903 1.368 Mg
3.184 5.710 4.099 Mg
1.061 4.455 0.039 Zn
1.061 4.455 2.687 Zn
1.061 6.965 0.039 Zn
1.061 6.964 2.687 Zn
3.184 0.649 2.781 Zn
3.184 0.648 5.428 Zn
3.184 3.158 2.781 Zn
3.184 3.158 5.428 Zn
1.061 1.903 4.102 Ru
3.184 5.710 1.365 Ru
```


No. 2
Calculated X-ray diffraction stick pattern
Compound: Mg2Zn6Ru
Radiation: Cu Kα (λ = 1.5418 Å)
Structure: a crystal structure in Alexandria, relaxed with GGA-PBE
Intensities are scaled so that the largest is 100.

Top 10 peaks for 15° ≤ 2θ ≤ 90°, by intensity:
| 2theta | I_rel |
| --- | --- |
| 44.49 | 100 |
| 19.87 | 98 |
| 41.16 | 80 |
| 42.04 | 59 |
| 40.40 | 50 |
| 21.69 | 50 |
| 44.20 | 40 |
| 40.66 | 37 |
| 46.62 | 36 |
| 37.33 | 29 |

```
Mg2Zn6Ru
1.0
4.509 -2.597 0.000
4.509 2.597 0.000
-1.552 0.000 6.448
Mg Zn Ru
2 6 1
Cartesian
0.723 0.000 2.744 Mg
6.742 0.000 3.703 Mg
2.973 1.300 1.131 Zn
2.212 0.000 5.267 Zn
4.493 1.300 5.317 Zn
2.973 -1.300 1.131 Zn
5.253 0.000 1.180 Zn
4.493 -1.300 5.317 Zn
3.733 0.000 3.224 Ru
```


No. 3
Calculated X-ray diffraction stick pattern
Compound: MgZr3Ru4
Radiation: Cu Kα (λ = 1.5418 Å)
Structure: a crystal structure in Alexandria, relaxed with GGA-PBE
Intensities are scaled so that the largest is 100.

Top 10 peaks for 15° ≤ 2θ ≤ 90°, by intensity:
| 2theta | I_rel |
| --- | --- |
| 39.18 | 100 |
| 39.51 | 96 |
| 56.86 | 32 |
| 71.23 | 32 |
| 71.01 | 17 |
| 71.89 | 15 |
| 84.23 | 10 |
| 85.06 | 9 |
| 27.54 | 6 |
| 22.68 | 5 |

```
MgZr3Ru4
1.0
2.299 1.327 7.420
-2.299 1.327 7.420
0.000 -2.655 7.420
Mg Zr Ru
1 3 4
Cartesian
0.000 0.000 0.000 Mg
0.000 0.000 5.674 Zr
0.000 0.000 11.130 Zr
0.000 0.000 16.585 Zr
0.000 0.000 2.804 Ru
0.000 0.000 8.403 Ru
0.000 0.000 13.856 Ru
0.000 0.000 19.456 Ru
```


No. 4
Calculated X-ray diffraction stick pattern
Compound: MgS5
Radiation: Cu Kα (λ = 1.5418 Å)
Structure: a crystal structure in Alexandria, relaxed with GGA-PBE
Intensities are scaled so that the largest is 100.

Top 10 peaks for 15° ≤ 2θ ≤ 90°, by intensity:
| 2theta | I_rel |
| --- | --- |
| 27.57 | 100 |
| 23.26 | 94 |
| 22.20 | 92 |
| 31.16 | 72 |
| 34.78 | 54 |
| 36.15 | 47 |
| 19.17 | 41 |
| 21.20 | 40 |
| 42.60 | 30 |
| 25.16 | 30 |

```
MgS5
1.0
4.454 0.000 0.000
0.571 5.188 0.000
1.652 1.182 12.598
Mg S
2 10
Cartesian
1.003 1.038 2.878 Mg
5.674 5.332 9.720 Mg
1.161 3.634 3.175 S
2.166 5.609 7.192 S
2.293 2.192 7.801 S
3.472 5.405 10.905 S
3.664 3.499 11.697 S
3.013 2.871 0.901 S
3.205 0.965 1.693 S
4.384 4.178 4.797 S
4.511 0.761 5.406 S
5.516 2.736 9.423 S
```


Copy entry 3 word for word.
Calculated X-ray diffraction stick pattern
Compound: MgZr3Ru4
Radiation: Cu Kα (λ = 1.5418 Å)
Structure: a crystal structure in Alexandria, relaxed with GGA-PBE
Intensities are scaled so that the largest is 100.

Top 10 peaks for 15° ≤ 2θ ≤ 90°, by intensity:
| 2theta | I_rel |
| --- | --- |
| 39.18 | 100 |
| 39.51 | 96 |
| 56.86 | 32 |
| 71.23 | 32 |
| 71.01 | 17 |
| 71.89 | 15 |
| 84.23 | 10 |
| 85.06 | 9 |
| 27.54 | 6 |
| 22.68 | 5 |

```
MgZr3Ru4
1.0
2.299 1.327 7.420
-2.299 1.327 7.420
0.000 -2.655 7.420
Mg Zr Ru
1 3 4
Cartesian
0.000 0.000 0.000 Mg
0.000 0.000 5.674 Zr
0.000 0.000 11.130 Zr
0.000 0.000 16.585 Zr
0.000 0.000 2.804 Ru
0.000 0.000 8.403 Ru
0.000 0.000 13.856 Ru
0.000 0.000 19.456 Ru
```


What is the formula in the third record?
MgZr3Ru4